Calculated XRD peak list
Compound: Nb2CuPt8
Radiation: λ = 1.5418 Å (Cu Kα)
Structure: a structure optimized by DFT (PBE)

```
data_Nb2CuPt8
_cell_length_a 3.9390
_cell_length_b 7.9724
_cell_length_c 11.5665
_cell_angle_alpha 90.00
_cell_angle_beta 90.00
_cell_angle_gamma 90.00
_symmetry_space_group_name_H-M 'I m m m'
_symmetry_Int_Tables_number 71
_symmetry_space_group_name_Hall '-I 2 2'
loop_
_atom_site_label
_atom_site_type_symbol
_atom_site_fract_x
_atom_site_fract_y
_atom_site_fract_z
Nb1 Nb 0.0000 0.0000 0.1630
Cu1 Cu 0.0000 0.0000 0.5000
Pt1 Pt 0.0000 0.2409 0.0000
Pt2 Pt 0.0000 0.2558 0.3388
Pt3 Pt 0.0000 0.5000 0.1713
```

Principal peaks in the range 2θ = 10–90°, in order of rising 2θ:
(hkl), two_theta, d [Å], Rel. int.
1 2 3, 39.77, 2.267, 100
0 4 0, 45.51, 1.993, 18
2 0 0, 46.09, 1.970, 17
0 0 6, 47.14, 1.928, 15
2 4 0, 66.77, 1.401, 11
2 0 6, 68.05, 1.378, 10
1 6 3, 80.20, 1.197, 13
3 2 3, 81.04, 1.187, 13
1 2 9, 82.59, 1.168, 12
2 4 6, 85.73, 1.133, 11



Calculated XRD peak list
Compound: Al2SnF8
Radiation: λ = 1.5418 Å (Cu Kα)
Structure: a structure optimized by DFT (PBE)

```
data_Al2SnF8
_cell_length_a 6.3579
_cell_length_b 6.3579
_cell_length_c 5.5654
_cell_angle_alpha 90.00
_cell_angle_beta 90.00
_cell_angle_gamma 120.00
_symmetry_space_group_name_H-M 'P -3 m 1'
_symmetry_Int_Tables_number 164
_symmetry_space_group_name_Hall '-P 3 2"'
loop_
_atom_site_label
_atom_site_type_symbol
_atom_site_fract_x
_atom_site_fract_y
_atom_site_fract_z
Al1 Al 0.3333 0.6667 0.3332
Sn1 Sn 0.0000 0.0000 0.0000
F1 F 0.1875 0.3749 0.2270
F2 F 0.3333 0.6667 0.6345
```

Principal peaks in the range 2θ = 10–90°, in order of rising 2θ:
(hkl), two_theta, d [Å], Rel. int.
1 0 0, 16.10, 5.506, 22
0 1 1, 22.72, 3.914, 100
1 1 0, 28.07, 3.179, 38
0 1 2, 36.17, 2.484, 21
0 2 1, 36.41, 2.468, 30
2 1 0, 43.49, 2.081, 11
0 2 2, 46.40, 1.957, 21
1 2 1, 46.59, 1.949, 28
1 1 3, 57.52, 1.602, 14
2 2 0, 58.03, 1.589, 12



Calculated XRD peak list
Compound: Fe3Ru
Radiation: λ = 1.5418 Å (Cu Kα)
Structure: a structure optimized by DFT (PBE)

```
data_Fe3Ru
_cell_length_a 8.4588
_cell_length_b 2.5904
_cell_length_c 4.4136
_cell_angle_alpha 90.00
_cell_angle_beta 100.27
_cell_angle_gamma 90.00
_symmetry_space_group_name_H-M 'C 1 2/m 1'
_symmetry_Int_Tables_number 12
loop_
_symmetry_equiv_pos_as_xyz
'x,y,z'
'-x,-y,-z'
'-x,y,-z'
'x,-y,z'
'x+1/2,y+1/2,z'
'-x+1/2,-y+1/2,-z'
'-x+1/2,y+1/2,-z'
'x+1/2,-y+1/2,z'
loop_
_atom_site_label
_atom_site_type_symbol
_atom_site_fract_x
_atom_site_fract_y
_atom_site_fract_z
Fe1 Fe 0.0000 0.0000 0.0000
Fe2 Fe 0.2495 0.5000 0.2481
Ru1 Ru 0.0000 0.5000 0.5000
```

Principal peaks in the range 2θ = 10–90°, in order of rising 2θ:
(hkl), two_theta, d [Å], Rel. int.
0 0 1, 20.45, 4.343, 8
1 1 1, 43.03, 2.102, 100
4 0 0, 43.46, 2.082, 97
3 1 -1, 50.16, 1.819, 62
2 0 2, 50.78, 1.798, 30
0 2 0, 73.06, 1.295, 9
5 1 1, 74.16, 1.279, 36
6 0 -2, 74.28, 1.277, 9
4 2 0, 89.01, 1.100, 23
7 1 -1, 89.89, 1.091, 22



Calculated XRD peak list
Compound: NiRh3Se8
Radiation: λ = 1.5418 Å (Cu Kα)
Structure: a structure optimized by DFT (PBE)

```
data_NiRh3Se8
_cell_length_a 10.1490
_cell_length_b 7.3732
_cell_length_c 8.1232
_cell_angle_alpha 90.00
_cell_angle_beta 128.46
_cell_angle_gamma 90.00
_symmetry_space_group_name_H-M 'C 1 2/m 1'
_symmetry_Int_Tables_number 12
loop_
_symmetry_equiv_pos_as_xyz
'x,y,z'
'-x,-y,-z'
'-x,y,-z'
'x,-y,z'
'x+1/2,y+1/2,z'
'-x+1/2,-y+1/2,-z'
'-x+1/2,y+1/2,-z'
'x+1/2,-y+1/2,z'
loop_
_atom_site_label
_atom_site_type_symbol
_atom_site_fract_x
_atom_site_fract_y
_atom_site_fract_z
Ni1 Ni 0.0000 0.0000 0.0000
Rh1 Rh 0.0000 0.5000 0.0000
Rh2 Rh 0.2500 0.2500 0.5000
Se1 Se 0.0372 0.5000 0.3353
Se2 Se 0.0376 0.0000 0.3253
Se3 Se 0.2043 0.2432 0.1608
```

Principal peaks in the range 2θ = 10–90°, in order of rising 2θ:
(hkl), two_theta, d [Å], Rel. int.
2 0 -1, 17.48, 5.074, 39
2 2 0, 33.15, 2.702, 100
2 0 -3, 33.30, 2.691, 48
4 2 -3, 45.69, 1.986, 54
4 0 -4, 45.83, 1.980, 10
0 4 0, 49.45, 1.843, 18
0 2 3, 49.60, 1.838, 35
2 4 -3, 60.92, 1.521, 17
6 2 -4, 62.17, 1.493, 16
4 0 2, 69.69, 1.349, 9